Record 1
The following is a calculated powder X-ray diffraction pattern of HoIO. It was derived from a PBE-relaxed structure, using Cu Kα.
Neutral-atom scattering factors, no anomalous dispersion.

Structure:
```
HoIO
1.0
3.932 0.000 0.000
0.000 3.932 0.000
0.000 0.000 9.600
Ho I O
2 2 2
direct
0.250 0.250 0.114
0.750 0.750 0.886
0.250 0.250 0.685
0.750 0.750 0.315
0.250 0.750 0.000
0.750 0.250 0.000
```

Largest 8 diffraction maxima, in order of falling intensity, 15 to 90 degrees two-theta:
29.36 deg, rel. 1000; 32.20 deg, rel. 454; 55.67 deg, rel. 331; 36.19 deg, rel. 293; 46.18 deg, rel. 208; 58.41 deg, rel. 168; 60.03 deg, rel. 135; 50.21 deg, rel. 121

=====

Record 2
The following is a calculated powder X-ray diffraction pattern of HoIO9. It was derived from a PBE-relaxed structure, using Cu Kα.
Neutral-atom scattering factors, no anomalous dispersion.

Structure:
```
HoIO9
1.0
6.650 0.000 0.000
0.000 10.792 0.000
-5.357 0.000 8.760
Ho I O
4 4 36
direct
0.227 0.084 0.191
0.227 0.416 0.691
0.773 0.584 0.309
0.773 0.916 0.809
0.008 0.672 0.753
0.008 0.828 0.253
0.992 0.172 0.747
0.992 0.328 0.247
0.055 0.073 0.924
0.055 0.427 0.424
0.076 0.723 0.417
0.076 0.777 0.917
0.186 0.042 0.667
0.186 0.458 0.167
0.234 0.702 0.203
0.234 0.798 0.703
0.251 0.558 0.864
0.251 0.942 0.364
0.253 0.225 0.367
0.253 0.275 0.867
0.407 0.057 0.721
0.407 0.443 0.221
0.456 0.552 0.488
0.456 0.948 0.988
0.458 0.709 0.302
0.458 0.791 0.802
0.542 0.209 0.198
0.542 0.291 0.698
0.544 0.052 0.012
0.544 0.448 0.512
0.593 0.557 0.779
0.593 0.943 0.279
0.747 0.725 0.133
0.747 0.775 0.633
0.749 0.058 0.636
0.749 0.442 0.136
0.766 0.202 0.297
0.766 0.298 0.797
0.814 0.542 0.833
0.814 0.958 0.333
0.924 0.223 0.083
0.924 0.277 0.583
0.945 0.573 0.576
0.945 0.927 0.076
```

Largest 8 diffraction maxima, in order of falling intensity, 15 to 90 degrees two-theta:
20.28 deg, rel. 1000; 32.23 deg, rel. 704; 15.78 deg, rel. 664; 15.62 deg, rel. 503; 21.30 deg, rel. 492; 34.76 deg, rel. 464; 30.94 deg, rel. 420; 29.40 deg, rel. 330

=====

Record 3
The following is a calculated powder X-ray diffraction pattern of HoIO9. It was derived from a PBE-relaxed structure, using Cu Kα.
Neutral-atom scattering factors, no anomalous dispersion.

Structure:
```
HoIO9
1.0
7.632 0.000 0.000
0.000 11.284 0.000
-6.068 0.000 8.630
Ho I O
4 4 36
direct
0.178 0.087 0.194
0.178 0.413 0.694
0.822 0.587 0.306
0.822 0.913 0.806
0.015 0.171 0.771
0.015 0.329 0.271
0.985 0.671 0.729
0.985 0.829 0.229
0.045 0.747 0.403
0.045 0.753 0.903
0.082 0.073 0.946
0.082 0.427 0.446
0.194 0.699 0.207
0.194 0.801 0.707
0.207 0.563 0.844
0.207 0.937 0.344
0.221 0.038 0.751
0.221 0.462 0.251
0.236 0.222 0.392
0.236 0.278 0.892
0.386 0.728 0.263
0.386 0.772 0.763
0.403 0.073 0.787
0.403 0.427 0.287
0.474 0.574 0.181
0.474 0.926 0.681
0.526 0.074 0.319
0.526 0.426 0.819
0.597 0.573 0.713
0.597 0.927 0.213
0.614 0.228 0.237
0.614 0.272 0.737
0.764 0.722 0.108
0.764 0.778 0.608
0.779 0.538 0.749
0.779 0.962 0.249
0.793 0.063 0.656
0.793 0.437 0.156
0.806 0.199 0.293
0.806 0.301 0.793
0.918 0.573 0.554
0.918 0.927 0.054
0.955 0.247 0.097
0.955 0.253 0.597
```

Largest 8 diffraction maxima, in order of falling intensity, 15 to 90 degrees two-theta:
20.58 deg, rel. 1000; 28.90 deg, rel. 474; 31.86 deg, rel. 364; 19.68 deg, rel. 315; 29.26 deg, rel. 310; 30.15 deg, rel. 294; 27.69 deg, rel. 280; 38.85 deg, rel. 225

=====

Record 4
The following is a calculated powder X-ray diffraction pattern of Ho7PtI12. It was derived from a PBE-relaxed structure, using Cu Kα.
Neutral-atom scattering factors, no anomalous dispersion.

Structure:
```
Ho7PtI12
1.0
7.845 4.530 3.590
-7.845 4.530 3.590
0.000 -9.059 3.590
Ho Pt I
7 1 12
direct
0.000 0.000 0.000
0.197 0.401 0.471
0.401 0.471 0.197
0.471 0.197 0.401
0.529 0.803 0.599
0.599 0.529 0.803
0.803 0.599 0.529
0.500 0.500 0.500
0.034 0.343 0.112
0.112 0.034 0.343
0.177 0.726 0.575
0.274 0.425 0.823
0.343 0.112 0.034
0.425 0.823 0.274
0.575 0.177 0.726
0.657 0.888 0.966
0.726 0.575 0.177
0.823 0.274 0.425
0.888 0.966 0.657
0.966 0.657 0.888
```

Largest 8 diffraction maxima, in order of falling intensity, 15 to 90 degrees two-theta:
28.91 deg, rel. 1000; 41.20 deg, rel. 364; 41.50 deg, rel. 351; 51.37 deg, rel. 174; 59.90 deg, rel. 137; 68.08 deg, rel. 135; 67.66 deg, rel. 127; 25.03 deg, rel. 98

=====

Record 5
The following is a calculated powder X-ray diffraction pattern of Ho3In. It was derived from a PBE-relaxed structure, using Cu Kα.
Neutral-atom scattering factors, no anomalous dispersion.

Structure:
```
Ho3In
1.0
4.825 0.000 0.000
0.000 4.825 0.000
0.000 0.000 4.825
Ho In
3 1
direct
0.000 0.000 0.500
0.000 0.500 0.000
0.500 0.000 0.000
0.500 0.500 0.500
```

Largest 8 diffraction maxima, in order of falling intensity, 15 to 90 degrees two-theta:
32.13 deg, rel. 1000; 37.28 deg, rel. 503; 64.01 deg, rel. 413; 53.74 deg, rel. 350; 88.30 deg, rel. 177; 67.22 deg, rel. 119; 79.46 deg, rel. 56; 18.39 deg, rel. 16

=====

Record 6
The following is a calculated powder X-ray diffraction pattern of Ho3In. It was derived from a PBE-relaxed structure, using Cu Kα.
Neutral-atom scattering factors, no anomalous dispersion.

Structure:
```
Ho3In
1.0
6.885 0.000 0.000
-3.443 5.963 0.000
0.000 0.000 5.502
Ho In
6 2
direct
0.171 0.343 0.250
0.171 0.829 0.250
0.343 0.171 0.750
0.657 0.829 0.250
0.829 0.171 0.750
0.829 0.657 0.750
0.333 0.667 0.750
0.667 0.333 0.250
```

Largest 8 diffraction maxima, in order of falling intensity, 15 to 90 degrees two-theta:
34.21 deg, rel. 1000; 32.55 deg, rel. 255; 29.97 deg, rel. 236; 63.78 deg, rel. 216; 59.14 deg, rel. 206; 53.22 deg, rel. 187; 44.83 deg, rel. 157; 64.80 deg, rel. 154

=====

Record 7
The following is a calculated powder X-ray diffraction pattern of Ho4InIr. It was derived from a PBE-relaxed structure, using Cu Kα.
Neutral-atom scattering factors, no anomalous dispersion.

Structure:
```
Ho4InIr
1.0
0.000 6.811 6.811
6.811 0.000 6.811
6.811 6.811 0.000
Ho In Ir
16 4 4
direct
0.059 0.059 0.441
0.059 0.441 0.059
0.059 0.441 0.441
0.190 0.190 0.810
0.190 0.810 0.190
0.190 0.810 0.810
0.203 0.599 0.599
0.441 0.059 0.059
0.441 0.059 0.441
0.441 0.441 0.059
0.599 0.203 0.599
0.599 0.599 0.203
0.599 0.599 0.599
0.810 0.190 0.190
0.810 0.190 0.810
0.810 0.810 0.190
0.501 0.833 0.833
0.833 0.501 0.833
0.833 0.833 0.501
0.833 0.833 0.833
0.391 0.391 0.391
0.391 0.391 0.826
0.391 0.826 0.391
0.826 0.391 0.391
```

Largest 8 diffraction maxima, in order of falling intensity, 15 to 90 degrees two-theta:
34.20 deg, rel. 1000; 32.19 deg, rel. 411; 37.34 deg, rel. 407; 57.40 deg, rel. 399; 28.56 deg, rel. 161; 88.49 deg, rel. 160; 58.70 deg, rel. 146; 71.67 deg, rel. 142

=====

Record 8
The following is a calculated powder X-ray diffraction pattern of LaHoIn2. It was derived from a PBE-relaxed structure, using Cu Kα.
Neutral-atom scattering factors, no anomalous dispersion.

Structure:
```
LaHoIn2
1.0
7.724 0.000 0.000
0.000 7.724 0.000
0.000 0.000 7.724
La Ho In
4 4 8
direct
0.000 0.000 0.000
0.000 0.500 0.500
0.500 0.000 0.500
0.500 0.500 0.000
0.000 0.000 0.500
0.000 0.500 0.000
0.500 0.000 0.000
0.500 0.500 0.500
0.250 0.250 0.250
0.250 0.250 0.750
0.250 0.750 0.250
0.250 0.750 0.750
0.750 0.250 0.250
0.750 0.250 0.750
0.750 0.750 0.250
0.750 0.750 0.750
```

Largest 8 diffraction maxima, in order of falling intensity, 15 to 90 degrees two-theta:
32.79 deg, rel. 1000; 58.54 deg, rel. 373; 47.06 deg, rel. 181; 78.28 deg, rel. 159; 68.75 deg, rel. 114; 87.49 deg, rel. 41; 23.03 deg, rel. 18; 53.02 deg, rel. 9

=====

Record 9
The following is a calculated powder X-ray diffraction pattern of LiHoIn2. It was derived from a PBE-relaxed structure, using Cu Kα.
Neutral-atom scattering factors, no anomalous dispersion.

Structure:
```
LiHoIn2
1.0
7.263 0.000 0.000
0.000 7.263 0.000
0.000 0.000 7.263
Li Ho In
4 4 8
direct
0.000 0.000 0.000
0.000 0.500 0.500
0.500 0.000 0.500
0.500 0.500 0.000
0.000 0.000 0.500
0.000 0.500 0.000
0.500 0.000 0.000
0.500 0.500 0.500
0.250 0.250 0.250
0.250 0.250 0.750
0.250 0.750 0.250
0.250 0.750 0.750
0.750 0.250 0.250
0.750 0.250 0.750
0.750 0.750 0.250
0.750 0.750 0.750
```

Largest 8 diffraction maxima, in order of falling intensity, 15 to 90 degrees two-theta:
34.94 deg, rel. 1000; 21.19 deg, rel. 360; 62.66 deg, rel. 358; 41.22 deg, rel. 195; 50.24 deg, rel. 176; 84.33 deg, rel. 157; 73.80 deg, rel. 110; 55.12 deg, rel. 84

=====

Record 10
The following is a calculated powder X-ray diffraction pattern of LiHo2In. It was derived from a PBE-relaxed structure, using Cu Kα.
Neutral-atom scattering factors, no anomalous dispersion.

Structure:
```
LiHo2In
1.0
7.423 0.000 0.000
0.000 7.423 0.000
0.000 0.000 7.423
Li Ho In
4 8 4
direct
0.000 0.000 0.000
0.000 0.500 0.500
0.500 0.000 0.500
0.500 0.500 0.000
0.250 0.250 0.250
0.250 0.250 0.750
0.250 0.750 0.250
0.250 0.750 0.750
0.750 0.250 0.250
0.750 0.250 0.750
0.750 0.750 0.250
0.750 0.750 0.750
0.000 0.000 0.500
0.000 0.500 0.000
0.500 0.000 0.000
0.500 0.500 0.500
```

Largest 8 diffraction maxima, in order of falling intensity, 15 to 90 degrees two-theta:
34.17 deg, rel. 1000; 61.17 deg, rel. 370; 23.98 deg, rel. 252; 49.10 deg, rel. 180; 82.13 deg, rel. 161; 20.73 deg, rel. 147; 71.96 deg, rel. 114; 55.35 deg, rel. 107

=====

Record 11
The following is a calculated powder X-ray diffraction pattern of Li2HoIn. It was derived from a PBE-relaxed structure, using Cu Kα.
Neutral-atom scattering factors, no anomalous dispersion.

Structure:
```
Li2HoIn
1.0
6.845 0.000 0.000
0.000 6.845 0.000
0.000 0.000 6.845
Li Ho In
8 4 4
direct
0.250 0.250 0.250
0.250 0.250 0.750
0.250 0.750 0.250
0.250 0.750 0.750
0.750 0.250 0.250
0.750 0.250 0.750
0.750 0.750 0.250
0.750 0.750 0.750
0.000 0.000 0.000
0.000 0.500 0.500
0.500 0.000 0.500
0.500 0.500 0.000
0.000 0.000 0.500
0.000 0.500 0.000
0.500 0.000 0.000
0.500 0.500 0.500
```

Largest 8 diffraction maxima, in order of falling intensity, 15 to 90 degrees two-theta:
26.03 deg, rel. 1000; 37.15 deg, rel. 913; 60.48 deg, rel. 375; 66.97 deg, rel. 319; 45.93 deg, rel. 287; 85.02 deg, rel. 183; 53.55 deg, rel. 158; 79.15 deg, rel. 99

=====

Record 12
The following is a calculated powder X-ray diffraction pattern of HoLuIn2. It was derived from a PBE-relaxed structure, using Cu Kα.
Neutral-atom scattering factors, no anomalous dispersion.

Structure:
```
HoLuIn2
1.0
7.436 0.000 0.000
0.000 7.436 0.000
0.000 0.000 7.436
Ho Lu In
4 4 8
direct
0.000 0.000 0.000
0.000 0.500 0.500
0.500 0.000 0.500
0.500 0.500 0.000
0.000 0.000 0.500
0.000 0.500 0.000
0.500 0.000 0.000
0.500 0.500 0.500
0.250 0.250 0.250
0.250 0.250 0.750
0.250 0.750 0.250
0.250 0.750 0.750
0.750 0.250 0.250
0.750 0.250 0.750
0.750 0.750 0.250
0.750 0.750 0.750
```

Largest 8 diffraction maxima, in order of falling intensity, 15 to 90 degrees two-theta:
34.10 deg, rel. 1000; 61.05 deg, rel. 368; 49.00 deg, rel. 179; 81.95 deg, rel. 160; 71.82 deg, rel. 113; 23.93 deg, rel. 38; 55.25 deg, rel. 18; 42.10 deg, rel. 12